For Cr3B7BrO13, a GGA+U-relaxed structure gives the simulated X-ray diffraction stick pattern in this record (CuKα).

Principal peaks in the range 2θ = 5–70°, low angle first:
2θ = 25.09°, 3.549 Å, intensity 12
2θ = 29.05°, 3.073 Å, intensity 100
2θ = 32.57°, 2.749 Å, intensity 83
2θ = 35.78°, 2.509 Å, intensity 11
2θ = 41.55°, 2.173 Å, intensity 60
2θ = 43.55°, 2.078 Å, intensity 26
2θ = 44.20°, 2.049 Å, intensity 15
2θ = 49.16°, 1.853 Å, intensity 14
2θ = 51.50°, 1.774 Å, intensity 31
2θ = 53.77°, 1.705 Å, intensity 17
2θ = 62.28°, 1.491 Å, intensity 25
2θ = 68.23°, 1.374 Å, intensity 30

Structural model:
abc: 8.6930 8.6930 8.6930
angles: 60.00 60.00 60.00
Positions (direct):
Cr (0.2500, 0.2500, 0.7500)
Cr (0.2500, 0.7500, 0.2500)
Cr (0.2500, 0.7500, 0.7500)
Cr (0.7500, 0.2500, 0.2500)
Cr (0.7500, 0.2500, 0.7500)
Cr (0.7500, 0.7500, 0.2500)
B (0.0000, 0.0000, 0.5000)
B (0.0000, 0.5000, 0.0000)
B (0.0000, 0.5000, 0.5000)
B (0.1700, 0.1700, 0.1700)
B (0.1700, 0.1700, 0.4899)
B (0.1700, 0.4899, 0.1700)
B (0.4899, 0.1700, 0.1700)
B (0.5000, 0.0000, 0.0000)
B (0.5000, 0.0000, 0.5000)
B (0.5000, 0.5000, 0.0000)
B (0.6700, 0.6700, 0.6700)
B (0.6700, 0.6700, 0.9899)
B (0.6700, 0.9899, 0.6700)
B (0.9899, 0.6700, 0.6700)
Br (0.0000, 0.0000, 0.0000)
Br (0.5000, 0.5000, 0.5000)
O (0.0457, 0.4950, 0.8141)
O (0.0457, 0.6452, 0.4950)
O (0.0457, 0.8141, 0.6452)
O (0.1452, 0.3141, 0.5457)
O (0.1452, 0.5457, 0.9950)
O (0.1452, 0.9950, 0.3141)
O (0.2500, 0.2500, 0.2500)
O (0.3141, 0.1452, 0.9950)
O (0.3141, 0.5457, 0.1452)
O (0.3141, 0.9950, 0.5457)
O (0.4950, 0.0457, 0.6452)
O (0.4950, 0.6452, 0.8141)
O (0.4950, 0.8141, 0.0457)
O (0.5457, 0.1452, 0.3141)
O (0.5457, 0.3141, 0.9950)
O (0.5457, 0.9950, 0.1452)
O (0.6452, 0.0457, 0.8141)
O (0.6452, 0.4950, 0.0457)
O (0.6452, 0.8141, 0.4950)
O (0.7500, 0.7500, 0.7500)
O (0.8141, 0.0457, 0.4950)
O (0.8141, 0.4950, 0.6452)
O (0.8141, 0.6452, 0.0457)
O (0.9950, 0.1452, 0.5457)
O (0.9950, 0.3141, 0.1452)
O (0.9950, 0.5457, 0.3141)